Computed powder diffraction line list of TiGe2O6 for λ = 1.5418 Å (Cu Kα), from the PBE geometry in the Materials Project.
Neutral-atom scattering factors, no anomalous dispersion.

Peak list (10 most intense, 2θ = 10–80°, in order of rising 2θ)
2θ (°)	I/Imax
18.6	400
19.1	794
19.6	621
25.9	502
28.7	1000
29.8	817
33.8	477
35.1	597
43.5	258
54.9	275

Cell lengths 6.7655, 6.7655, 5.5925 Å; angles 103.56, 103.56, 83.97 degrees
Positions (direct):
Ti  0.1070  0.8930  0.7500
Ti  0.8930  0.1070  0.2500
Ge  0.2088  0.3802  0.7272
Ge  0.3802  0.2088  0.2272
Ge  0.6198  0.7912  0.7728
Ge  0.7912  0.6198  0.2728
O  0.0401  0.1761  0.6163
O  0.0970  0.6306  0.7857
O  0.1761  0.0401  0.1163
O  0.3463  0.3852  0.4997
O  0.3694  0.9030  0.7143
O  0.3852  0.3463  0.9997
O  0.6148  0.6537  0.0003
O  0.6306  0.0970  0.2857
O  0.6537  0.6148  0.5003
O  0.8239  0.9599  0.8837
O  0.9030  0.3694  0.2143
O  0.9599  0.8239  0.3837

***

Computed powder diffraction line list of TiGeO3 for λ = 1.5418 Å (Cu Kα), from the PBE geometry in the Materials Project.
Neutral-atom scattering factors, no anomalous dispersion.

Peak list (10 most intense, 2θ = 10–80°, in order of rising 2θ)
2θ (°)	I/Imax
13.7	401
20.8	217
27.5	1000
30.9	678
35.6	524
45.6	303
47.8	199
56.2	538
59.1	214
63.9	240

Cell lengths 7.0819, 7.0819, 7.0819 Å; angles 41.73, 41.73, 41.73 degrees
Positions (direct):
Ti  0.1625  0.1625  0.1625
Ti  0.8375  0.8375  0.8375
Ge  0.3936  0.3936  0.3936
Ge  0.6064  0.6064  0.6064
O  0.1017  0.7873  0.4439
O  0.2127  0.5561  0.8983
O  0.4439  0.1017  0.7873
O  0.5561  0.8983  0.2127
O  0.7873  0.4439  0.1017
O  0.8983  0.2127  0.5561

***

Computed powder diffraction line list of TiGe2O6 for λ = 1.5418 Å (Cu Kα), from the PBE geometry in the Materials Project.
Neutral-atom scattering factors, no anomalous dispersion.

Peak list (10 most intense, 2θ = 10–80°, in order of rising 2θ)
2θ (°)	I/Imax
18.5	481
19.1	1000
19.6	707
25.8	471
28.8	999
29.6	980
33.5	534
34.8	660
54.9	304
64.1	379

Cell lengths 9.9512, 9.0408, 5.6119 Å; angles 90.00, 105.09, 90.00 degrees
Positions (direct):
Ti  0.2501  0.1435  0.0114
Ti  0.2501  0.3565  0.5114
Ti  0.7499  0.6435  0.4886
Ti  0.7499  0.8565  0.9886
Ge  0.0405  0.6637  0.3180
Ge  0.0405  0.8363  0.8180
Ge  0.4560  0.6674  0.6545
Ge  0.4560  0.8326  0.1545
Ge  0.5440  0.1674  0.8455
Ge  0.5440  0.3326  0.3455
Ge  0.9595  0.1637  0.1820
Ge  0.9595  0.3363  0.6820
O  0.1087  0.0189  0.8505
O  0.1087  0.4811  0.3505
O  0.1123  0.7472  0.0986
O  0.1123  0.7528  0.5986
O  0.1445  0.1829  0.2686
O  0.1445  0.3171  0.7686
O  0.3592  0.1883  0.7602
O  0.3592  0.3117  0.2602
O  0.3856  0.7223  0.3483
O  0.3856  0.7777  0.8483
O  0.3867  0.0125  0.1627
O  0.3867  0.4875  0.6627
O  0.6133  0.5125  0.3373
O  0.6133  0.9875  0.8373
O  0.6144  0.2223  0.1517
O  0.6144  0.2777  0.6517
O  0.6408  0.6883  0.7398
O  0.6408  0.8117  0.2398
O  0.8555  0.6829  0.2314
O  0.8555  0.8171  0.7314
O  0.8877  0.2472  0.4014
O  0.8877  0.2528  0.9014
O  0.8913  0.5189  0.6495
O  0.8913  0.9811  0.1495

***

Computed powder diffraction line list of TiTl2Ge3O9 for λ = 1.5418 Å (Cu Kα), from the PBE geometry in the Materials Project.
Neutral-atom scattering factors, no anomalous dispersion.

Peak list (10 most intense, 2θ = 10–80°, in order of rising 2θ)
2θ (°)	I/Imax
14.4	189
25.1	469
29.4	885
30.3	444
30.4	1000
46.9	285
47.6	202
52.8	280
59.4	194
60.4	266

Cell lengths 7.1026, 7.1026, 10.4847 Å; angles 90.00, 90.00, 120.00 degrees
Positions (direct):
Ti  0.0000  0.0000  0.0000
Ti  0.0000  0.0000  0.5000
Tl  0.3333  0.6667  0.0575
Tl  0.3333  0.6667  0.4425
Tl  0.6667  0.3333  0.5575
Tl  0.6667  0.3333  0.9425
Ge  0.1255  0.3675  0.7500
Ge  0.2420  0.8745  0.7500
Ge  0.3675  0.2420  0.2500
Ge  0.6325  0.7580  0.7500
Ge  0.7580  0.1255  0.2500
Ge  0.8745  0.6325  0.2500
O  0.0082  0.2329  0.6075
O  0.0082  0.2329  0.8925
O  0.0643  0.5863  0.7500
O  0.2247  0.9918  0.6075
O  0.2247  0.9918  0.8925
O  0.2329  0.2247  0.1075
O  0.2329  0.2247  0.3925
O  0.4137  0.4780  0.7500
O  0.4780  0.0643  0.2500
O  0.5220  0.9357  0.7500
O  0.5863  0.5220  0.2500
O  0.7671  0.7753  0.6075
O  0.7671  0.7753  0.8925
O  0.7753  0.0082  0.1075
O  0.7753  0.0082  0.3925
O  0.9357  0.4137  0.2500
O  0.9918  0.7671  0.1075
O  0.9918  0.7671  0.3925

***

Computed powder diffraction line list of TiZnGe2O6 for λ = 1.5418 Å (Cu Kα), from the PBE geometry in the Materials Project.
Neutral-atom scattering factors, no anomalous dispersion.

Peak list (10 most intense, 2θ = 10–80°, in order of rising 2θ)
2θ (°)	I/Imax
20.7	229
23.9	221
27.6	195
29.7	484
29.8	633
34.4	1000
35.5	209
40.7	381
57.6	186
59.6	181

Cell lengths 6.9454, 6.9454, 5.0553 Å; angles 100.04, 100.04, 79.33 degrees
Positions (direct):
Ti  0.1015  0.8985  0.7500
Ti  0.8985  0.1015  0.2500
Zn  0.3406  0.6594  0.2500
Zn  0.6594  0.3406  0.7500
Ge  0.1618  0.4129  0.6292
Ge  0.4129  0.1618  0.1292
Ge  0.5871  0.8382  0.8708
Ge  0.8382  0.5871  0.3708
O  0.0438  0.1822  0.6014
O  0.1563  0.6537  0.8871
O  0.1822  0.0438  0.1014
O  0.3084  0.3975  0.3450
O  0.3463  0.8437  0.6129
O  0.3975  0.3084  0.8450
O  0.6025  0.6916  0.1550
O  0.6537  0.1563  0.3871
O  0.6916  0.6025  0.6550
O  0.8178  0.9562  0.8986
O  0.8437  0.3463  0.1129
O  0.9562  0.8178  0.3986

***

Computed powder diffraction line list of TiZnGe2O6 for λ = 1.5418 Å (Cu Kα), from the PBE geometry in the Materials Project.
Neutral-atom scattering factors, no anomalous dispersion.

Peak list (10 most intense, 2θ = 10–80°, in order of rising 2θ)
2θ (°)	I/Imax
18.2	324
24.7	625
25.7	211
27.5	494
29.3	1000
32.4	977
34.1	399
36.0	225
50.5	273
59.0	194

Cell lengths 12.1434, 8.5231, 5.3540 Å; angles 90.00, 100.86, 90.00 degrees
Positions (direct):
Ti  0.2094  0.1564  0.1723
Ti  0.2094  0.3436  0.6723
Ti  0.7906  0.6564  0.3277
Ti  0.7906  0.8436  0.8277
Zn  0.2536  0.5485  0.1944
Zn  0.2536  0.9515  0.6944
Zn  0.7464  0.0485  0.3056
Zn  0.7464  0.4515  0.8056
Ge  0.0325  0.6529  0.7300
Ge  0.0325  0.8471  0.2300
Ge  0.4180  0.6348  0.7456
Ge  0.4180  0.8652  0.2456
Ge  0.5820  0.1348  0.7544
Ge  0.5820  0.3652  0.2544
Ge  0.9675  0.1529  0.7700
Ge  0.9675  0.3471  0.2700
O  0.0791  0.0382  0.2159
O  0.0791  0.4618  0.7159
O  0.0990  0.7094  0.0493
O  0.0990  0.7906  0.5493
O  0.1136  0.1591  0.7897
O  0.1136  0.3409  0.2897
O  0.2746  0.1613  0.5185
O  0.2746  0.3387  0.0185
O  0.2942  0.5036  0.5656
O  0.2942  0.9964  0.0656
O  0.3520  0.6859  0.0396
O  0.3520  0.8141  0.5396
O  0.6480  0.1859  0.4604
O  0.6480  0.3141  0.9604
O  0.7058  0.0036  0.9344
O  0.7058  0.4964  0.4344
O  0.7254  0.6613  0.9815
O  0.7254  0.8387  0.4815
O  0.8864  0.6591  0.7103
O  0.8864  0.8409  0.2103
O  0.9010  0.2094  0.4507
O  0.9010  0.2906  0.9507
O  0.9209  0.5382  0.2841
O  0.9209  0.9618  0.7841

***

Computed powder diffraction line list of Tl8Ge5O14 for λ = 1.5418 Å (Cu Kα), from the PBE geometry in the Materials Project.
Neutral-atom scattering factors, no anomalous dispersion.

Peak list (10 most intense, 2θ = 10–80°, in order of rising 2θ)
2θ (°)	I/Imax
24.0	306
25.9	393
26.7	1000
27.3	905
28.0	902
28.3	393
29.3	449
33.0	703
40.0	294
49.4	476

Cell lengths 9.7542, 9.7542, 14.8481 Å; angles 109.13, 109.13, 60.03 degrees
Positions (direct):
Tl  0.0544  0.5540  0.6626
Tl  0.1203  0.3233  0.1029
Tl  0.1592  0.8230  0.6034
Tl  0.1770  0.8408  0.8966
Tl  0.3233  0.1203  0.6029
Tl  0.3409  0.3790  0.8971
Tl  0.3790  0.3409  0.3971
Tl  0.4460  0.9456  0.8374
Tl  0.5540  0.0544  0.1626
Tl  0.6210  0.6591  0.6029
Tl  0.6591  0.6210  0.1029
Tl  0.6767  0.8797  0.3971
Tl  0.8230  0.1592  0.1034
Tl  0.8408  0.1770  0.3966
Tl  0.8797  0.6767  0.8971
Tl  0.9456  0.4460  0.3374
Ge  0.0204  0.2500  0.7502
Ge  0.2034  0.7034  0.1096
Ge  0.2500  0.0204  0.2502
Ge  0.2966  0.7966  0.3904
Ge  0.4798  0.5202  0.7500
Ge  0.5202  0.4798  0.2500
Ge  0.7034  0.2034  0.6096
Ge  0.7500  0.9796  0.7498
Ge  0.7966  0.2966  0.8904
Ge  0.9796  0.7500  0.2498
O  0.0201  0.7870  0.1517
O  0.0530  0.4240  0.7885
O  0.0758  0.1885  0.2118
O  0.1550  0.7127  0.3479
O  0.1615  0.6610  0.9828
O  0.1885  0.0758  0.7118
O  0.2130  0.9799  0.3483
O  0.2873  0.8450  0.1521
O  0.3116  0.5525  0.7884
O  0.3390  0.8385  0.5172
O  0.3448  0.5201  0.1519
O  0.4240  0.0530  0.2885
O  0.4475  0.6884  0.7116
O  0.4799  0.6552  0.3481
O  0.5201  0.3448  0.6519
O  0.5525  0.3116  0.2884
O  0.5760  0.9470  0.7115
O  0.6552  0.4799  0.8481
O  0.6610  0.1615  0.4828
O  0.6884  0.4475  0.2116
O  0.7127  0.1550  0.8479
O  0.7870  0.0201  0.6517
O  0.8115  0.9242  0.2882
O  0.8385  0.3390  0.0172
O  0.8450  0.2873  0.6521
O  0.9242  0.8115  0.7882
O  0.9470  0.5760  0.2115
O  0.9799  0.2130  0.8483

***

Computed powder diffraction line list of TmGeO3 for λ = 1.5418 Å (Cu Kα), from the PBE geometry in the Materials Project.
Neutral-atom scattering factors, no anomalous dispersion.

Peak list (9 most intense, 2θ = 10–80°, in order of rising 2θ)
2θ (°)	I/Imax
22.9	128
32.6	1000
40.2	145
46.7	298
52.7	64
58.1	395
68.2	181
73.0	33
77.7	172

Cell lengths 3.8871, 3.8871, 3.8871 Å; angles 90.00, 90.00, 90.00 degrees
Positions (direct):
Tm  0.0000  0.0000  0.0000
Ge  0.5000  0.5000  0.5000
O  0.0000  0.5000  0.5000
O  0.5000  0.0000  0.5000
O  0.5000  0.5000  0.0000

***

Computed powder diffraction line list of Tm2Ge2O7 for λ = 1.5418 Å (Cu Kα), from the PBE geometry in the Materials Project.
Neutral-atom scattering factors, no anomalous dispersion.

Peak list (10 most intense, 2θ = 10–80°, in order of rising 2θ)
2θ (°)	I/Imax
14.9	455
27.2	787
28.9	732
30.3	469
32.8	1000
34.2	412
48.9	372
53.7	335
53.9	229
62.3	258

Cell lengths 6.7995, 6.7995, 12.3778 Å; angles 90.00, 90.00, 90.00 degrees
Positions (direct):
Tm  0.1264  0.3549  0.1148
Tm  0.1451  0.6264  0.3648
Tm  0.3549  0.1264  0.8852
Tm  0.3736  0.8549  0.1352
Tm  0.6264  0.1451  0.6352
Tm  0.6451  0.8736  0.3852
Tm  0.8549  0.3736  0.8648
Tm  0.8736  0.6451  0.6148
Ge  0.1000  0.1502  0.6320
Ge  0.1502  0.1000  0.3680
Ge  0.3498  0.6000  0.8820
Ge  0.4000  0.6502  0.6180
Ge  0.6000  0.3498  0.1180
Ge  0.6502  0.4000  0.3820
Ge  0.8498  0.9000  0.8680
Ge  0.9000  0.8498  0.1320
O  0.0349  0.0798  0.8715
O  0.0662  0.6618  0.1795
O  0.0798  0.0349  0.1285
O  0.1432  0.3208  0.2941
O  0.1618  0.4338  0.9295
O  0.1792  0.6432  0.5441
O  0.1963  0.1963  0.5000
O  0.3037  0.6963  0.7500
O  0.3208  0.1432  0.7059
O  0.3382  0.9338  0.3205
O  0.3568  0.8208  0.9559
O  0.4202  0.5349  0.1215
O  0.4338  0.1618  0.0705
O  0.4651  0.5798  0.3785
O  0.5349  0.4202  0.8785
O  0.5662  0.8382  0.5705
O  0.5798  0.4651  0.6215
O  0.6432  0.1792  0.4559
O  0.6618  0.0662  0.8205
O  0.6792  0.8568  0.2059
O  0.6963  0.3037  0.2500
O  0.8037  0.8037  0.0000
O  0.8208  0.3568  0.0441
O  0.8382  0.5662  0.4295
O  0.8568  0.6792  0.7941
O  0.9202  0.9651  0.6285
O  0.9338  0.3382  0.6795
O  0.9651  0.9202  0.3715